Computed X-ray diffraction stick pattern of Ca2AlPt2 for Cu Ka, from a crystal structure in the Materials Project, relaxed with GGA-PBE.

Crystal structure
Lattice parameters (Å, degrees): 9.900 5.756 7.767 90.00 101.93 90.00
Space group C2/c (No. 15)
Unique sites:
Ca 0.150 0.131 0.148
Al 0.000 0.389 0.750
Pt 0.129 0.366 0.504

Peak list (10 most intense, 15° ≤ 2θ ≤ 90°, by angle)
d (Å)  Position (°2θ)  intensity  hkl
4.948  17.9  882  1 1 0
4.363  20.4  846  1 1 -1
3.960  22.5  566  1 1 1
3.799  23.4  974  0 0 2
2.429  37.0  1000  2 2 -1
2.421  37.1  496  4 0 0
2.358  38.2  372  1 1 -3
2.283  39.5  882  2 2 1
2.265  39.8  437  4 0 -2
1.872  48.6  460  2 2 -3


Computed X-ray diffraction stick pattern of Te2MoW3Se6 for Cu Ka, from a crystal structure in the Materials Project, relaxed with GGA-PBE.

Crystal structure
Lattice parameters (Å, degrees): 3.3817 3.3817 38.4803 90.00 90.00 120.00
Space group P3m1 (No. 156)
Unique sites:
Te 0.0000 0.0000 0.0000
Te 0.0000 0.0000 0.0982
Mo 0.0000 0.0000 0.4854
W 0.0000 0.0000 0.8612
W 0.3333 0.6667 0.0491
W 0.3333 0.6667 0.6733
Se 0.0000 0.0000 0.6302
Se 0.0000 0.0000 0.7165
Se 0.3333 0.6667 0.4425
Se 0.3333 0.6667 0.5284
Se 0.3333 0.6667 0.8181
Se 0.3333 0.6667 0.9043

Peak list (10 most intense, 15° ≤ 2θ ≤ 90°, by angle)
d (Å)  Position (°2θ)  intensity  hkl
2.927  30.5  507  1 0 0
2.737  32.7  184  1 0 5
2.501  35.9  1000  0 1 8
2.082  43.5  639  1 0 13
2.004  45.2  232  1 0 14
1.691  54.3  380  1 1 0
1.651  55.7  150  1 1 5
1.401  66.8  163  2 0 8
1.312  71.9  143  0 2 13
1.243  76.7  171  1 1 21


Computed X-ray diffraction stick pattern of Sc6Al16Ni7 for Cu Ka, from a crystal structure in the Materials Project, relaxed with GGA-PBE.

Crystal structure
Lattice parameters (Å, degrees): 12.073 12.073 12.073 90.00 90.00 90.00
Space group Fm-3m (No. 225)
Unique sites:
Sc 0.000 0.000 0.196
Al 0.119 0.119 0.381
Al 0.166 0.166 0.166
Ni 0.000 0.000 0.500
Ni 0.000 0.250 0.250

Peak list (10 most intense, 15° ≤ 2θ ≤ 90°, by angle)
d (Å)  Position (°2θ)  intensity  hkl
3.485  25.6  176  2 2 2
3.018  29.6  207  4 0 0
2.770  32.3  122  3 3 1
2.464  36.5  195  4 2 2
2.323  38.8  396  3 3 3
2.134  42.3  1000  4 4 0
2.041  44.4  121  5 3 1
1.820  50.1  283  6 2 2
1.232  77.5  147  8 4 4
1.162  83.1  120  6 6 6


Computed X-ray diffraction stick pattern of Li6Sb2S7 for Cu Ka, from a crystal structure in the Materials Project, relaxed with GGA-PBE.

Crystal structure
Lattice parameters (Å, degrees): 6.499 7.578 12.682 90.00 109.80 90.00
Space group P2_1/c (No. 14)
Unique sites:
Li 0.226 0.207 0.355
Li 0.227 0.727 0.862
Li 0.246 0.518 0.649
Sb 0.248 0.003 0.628
S 0.009 0.740 0.005
S 0.045 0.012 0.762
S 0.496 0.233 0.242
S 0.500 0.000 0.500

Peak list (10 most intense, 15° ≤ 2θ ≤ 90°, by angle)
d (Å)  Position (°2θ)  intensity  hkl
5.251  16.9  831  1 0 -2
4.885  18.2  428  1 1 -1
4.067  21.9  593  1 1 1
3.789  23.5  212  0 2 0
2.644  33.9  1000  1 2 2
2.625  34.2  505  2 0 -4
2.379  37.8  234  2 2 0
2.345  38.4  268  0 2 4
1.881  48.4  331  3 2 -2
1.846  49.4  476  1 2 -6


Computed X-ray diffraction stick pattern of Nb2Co3Ge for Cu Ka, from a crystal structure in the Materials Project, relaxed with GGA-PBE.

Crystal structure
Lattice parameters (Å, degrees): 4.9038 4.9038 7.6874 90.00 90.00 120.00
Space group P6_3/mmc (No. 194)
Unique sites:
Nb 0.3333 0.6667 0.0612
Co 0.1722 0.3443 0.7500
Ge 0.0000 0.0000 0.0000

Peak list (10 most intense, 15° ≤ 2θ ≤ 90°, by angle)
d (Å)  Position (°2θ)  intensity  hkl
2.452  36.7  467  1 1 0
2.194  41.1  700  1 0 3
2.067  43.8  1000  1 1 2
2.047  44.3  635  2 0 1
1.922  47.3  125  0 0 4
1.859  49.0  93  2 0 2
1.360  69.0  249  2 1 3
1.328  70.9  227  3 0 2
1.245  76.5  231  2 0 5
1.226  77.9  259  2 2 0


Computed X-ray diffraction stick pattern of ZrCu5 for Cu Ka, from a crystal structure in the Materials Project, relaxed with GGA-PBE.

Crystal structure
Lattice parameters (Å, degrees): 6.839 6.839 6.839 90.00 90.00 90.00
Space group F-43m (No. 216)
Unique sites:
Zr 0.000 0.000 0.000
Cu 0.124 0.124 0.376
Cu 0.250 0.250 0.750

Peak list (10 most intense, 15° ≤ 2θ ≤ 90°, by angle)
d (Å)  Position (°2θ)  intensity  hkl
3.948  22.5  25  1 1 1
3.419  26.1  11  2 0 0
2.418  37.2  332  2 2 0
2.062  43.9  1000  3 1 1
1.974  46.0  347  2 2 2
1.710  53.6  27  4 0 0
1.569  58.9  6  3 3 1
1.396  67.0  108  4 2 2
1.316  71.7  281  5 1 1
1.209  79.2  233  4 4 0